This entry pairs a crystal structure of TePdWS2 with its theoretical X-ray powder pattern. Radiation: Cu Ka. Structure: a crystal structure in Alexandria, relaxed with PBE.
No peak broadening, texture or thermal motion is included.

Structure:
Cell lengths 5.064, 5.064, 4.905 Å; angles 90.00, 90.00, 90.00 degrees
Fractional coordinates of all 5 atoms:
Te  0.000  0.000  0.000
Pd  0.000  0.000  0.500
W  0.500  0.500  0.500
S  0.000  0.500  0.000
S  0.500  0.000  0.000

Top 10 peaks for 2θ = 10–90°, in order of rising 2θ:
two_theta	intensity
24.87	100
25.28	62
30.92	53
35.45	77
36.65	35
44.04	29
44.79	43
51.01	27
51.91	51
64.44	26

***

This entry pairs a crystal structure of PmY4Tm3 with its theoretical X-ray powder pattern. Radiation: Cu Ka. Structure: a crystal structure in Alexandria, relaxed with PBE.
No peak broadening, texture or thermal motion is included.

Structure:
Cell lengths 3.628, 8.438, 8.438 Å; angles 83.80, 90.00, 90.00 degrees
Fractional coordinates of all 8 atoms:
Pm  0.000  0.000  0.000
Y  0.500  0.171  0.665
Y  0.500  0.252  0.252
Y  0.500  0.665  0.171
Y  0.500  0.747  0.747
Tm  0.000  0.418  0.915
Tm  0.000  0.501  0.501
Tm  0.000  0.915  0.418

Top 10 peaks for 2θ = 10–90°, in order of rising 2θ:
two_theta	intensity
28.42	24
31.76	24
32.64	100
43.14	16
50.31	20
57.14	20
60.74	22
61.27	16
83.16	14
87.73	8

***

This entry pairs a crystal structure of MnFeSb4 with its theoretical X-ray powder pattern. Radiation: Cu Ka. Structure: a crystal structure in Alexandria, relaxed with PBE.
No peak broadening, texture or thermal motion is included.

Structure:
Cell lengths 4.702, 5.343, 12.757 Å; angles 90.00, 90.00, 90.00 degrees
Fractional coordinates of all 12 atoms:
Mn  0.000  0.000  0.000
Mn  0.500  0.000  0.500
Fe  0.000  0.000  0.500
Fe  0.000  0.500  0.000
Sb  0.177  0.270  0.646
Sb  0.177  0.730  0.354
Sb  0.205  0.254  0.158
Sb  0.205  0.746  0.842
Sb  0.795  0.254  0.842
Sb  0.795  0.746  0.158
Sb  0.823  0.270  0.354
Sb  0.823  0.730  0.646

Top 10 peaks for 2θ = 10–90°, in order of rising 2θ:
two_theta	intensity
18.87	22
28.91	100
33.55	12
36.46	11
38.03	21
42.53	14
44.23	20
44.43	16
51.80	12
57.16	13